1.
Theoretical XRD peak list
Compound: Nd5Ge3O13
Radiation: λ = 1.5418 Å (Cu Kα)
Structure: the GGA-PBE geometry in the Materials Project
Intensities are scaled so that the largest is 100.

Structural model:
Cell: 9.891 9.891 7.221 Å, 90.00 90.00 120.00°
Fractional positions:
Nd 0.006 0.769 0.250
Nd 0.231 0.236 0.250
Nd 0.236 0.006 0.750
Nd 0.333 0.667 0.000
Nd 0.333 0.667 0.500
Nd 0.667 0.333 0.000
Nd 0.667 0.333 0.500
Nd 0.764 0.994 0.250
Nd 0.769 0.764 0.750
Nd 0.994 0.231 0.750
Ge 0.025 0.627 0.750
Ge 0.373 0.398 0.750
Ge 0.398 0.025 0.250
Ge 0.602 0.975 0.750
Ge 0.627 0.602 0.250
Ge 0.975 0.373 0.250
O 0.000 0.000 0.250
O 0.000 0.000 0.750
O 0.097 0.756 0.555
O 0.097 0.756 0.945
O 0.131 0.524 0.750
O 0.181 0.491 0.250
O 0.244 0.341 0.555
O 0.244 0.341 0.945
O 0.310 0.819 0.250
O 0.341 0.097 0.055
O 0.341 0.097 0.445
O 0.393 0.869 0.750
O 0.476 0.607 0.750
O 0.491 0.310 0.750
O 0.509 0.690 0.250
O 0.524 0.393 0.250
O 0.607 0.131 0.250
O 0.659 0.903 0.555
O 0.659 0.903 0.945
O 0.690 0.181 0.750
O 0.756 0.659 0.055
O 0.756 0.659 0.445
O 0.819 0.509 0.750
O 0.869 0.476 0.250
O 0.903 0.244 0.055
O 0.903 0.244 0.445

The 8 most intense peaks (2θ = 10–90°), sorted by position:
- 26.8 deg, intensity 28.0
- 27.6 deg, intensity 32.0
- 30.3 deg, intensity 100.0
- 30.7 deg, intensity 59.6
- 31.3 deg, intensity 35.4
- 44.4 deg, intensity 31.9
- 47.0 deg, intensity 32.7
- 49.5 deg, intensity 20.2


2.
Theoretical XRD peak list
Compound: Tl2Ag16Te11
Radiation: λ = 1.5418 Å (Cu Kα)
Structure: the GGA-PBE geometry in the Materials Project
Intensities are scaled so that the largest is 100.

Structural model:
Cell: 11.411 11.427 15.437 Å, 111.55 90.02 119.68°
Fractional positions:
Tl 0.000 0.000 0.000
Tl 0.099 0.891 0.314
Tl 0.499 0.498 0.487
Tl 0.617 0.388 0.823
Ag 0.083 0.517 0.684
Ag 0.104 0.299 0.490
Ag 0.131 0.921 0.681
Ag 0.192 0.102 0.485
Ag 0.192 0.808 0.565
Ag 0.193 0.391 0.991
Ag 0.196 0.807 0.994
Ag 0.212 0.580 0.329
Ag 0.218 0.076 0.834
Ag 0.294 0.446 0.655
Ag 0.328 0.958 0.149
Ag 0.399 0.297 0.995
Ag 0.401 0.803 0.488
Ag 0.418 0.294 0.327
Ag 0.486 0.462 0.139
Ag 0.489 0.876 0.685
Ag 0.504 0.082 0.322
Ag 0.542 0.882 0.139
Ag 0.559 0.181 0.660
Ag 0.616 0.817 0.997
Ag 0.692 0.300 0.072
Ag 0.696 0.902 0.491
Ag 0.705 0.789 0.829
Ag 0.707 0.306 0.489
Ag 0.717 0.793 0.325
Ag 0.794 0.684 0.154
Ag 0.821 0.707 0.656
Ag 0.900 0.600 0.487
Ag 0.908 0.593 0.987
Ag 0.917 0.078 0.754
Ag 0.920 0.294 0.833
Ag 0.989 0.417 0.179
Te 0.065 0.711 0.159
Te 0.135 0.571 0.491
Te 0.178 0.313 0.825
Te 0.185 0.326 0.324
Te 0.263 0.741 0.771
Te 0.283 0.174 0.164
Te 0.321 0.209 0.659
Te 0.353 0.653 0.040
Te 0.429 0.065 0.493
Te 0.457 0.083 0.987
Te 0.475 0.814 0.322
Te 0.561 0.682 0.657
Te 0.642 0.560 0.990
Te 0.679 0.524 0.322
Te 0.687 0.030 0.829
Te 0.761 0.249 0.270
Te 0.793 0.441 0.658
Te 0.821 0.945 0.155
Te 0.858 0.148 0.553
Te 0.927 0.350 0.999
Te 0.935 0.865 0.490
Te 0.973 0.823 0.824

The 8 most intense peaks (2θ = 10–90°), sorted by position:
- 23.9 deg, intensity 71.7
- 23.9 deg, intensity 71.6
- 24.2 deg, intensity 49.2
- 25.2 deg, intensity 58.9
- 26.1 deg, intensity 79.9
- 28.1 deg, intensity 51.5
- 38.6 deg, intensity 100.0
- 40.4 deg, intensity 46.5


3.
Theoretical XRD peak list
Compound: Ca5Si6O22
Radiation: λ = 1.5418 Å (Cu Kα)
Structure: the GGA-PBE geometry in the Materials Project
Intensities are scaled so that the largest is 100.

Structural model:
Cell: 6.718 6.772 11.688 Å, 89.28 79.23 66.64°
Fractional positions:
Ca 0.000 0.000 0.000
Ca 0.070 0.489 0.846
Ca 0.490 0.506 0.020
Ca 0.565 0.976 0.822
Ca 0.887 0.990 0.506
Si 0.063 0.010 0.733
Si 0.435 0.049 0.094
Si 0.490 0.776 0.559
Si 0.570 0.721 0.277
Si 0.639 0.430 0.728
Si 0.998 0.470 0.108
O 0.012 0.541 0.648
O 0.076 0.219 0.412
O 0.085 0.873 0.307
O 0.092 0.634 0.036
O 0.180 0.108 0.810
O 0.209 0.266 0.141
O 0.215 0.887 0.605
O 0.384 0.887 0.013
O 0.435 0.590 0.231
O 0.455 0.374 0.816
O 0.516 0.948 0.216
O 0.522 0.763 0.418
O 0.567 0.529 0.605
O 0.608 0.914 0.607
O 0.619 0.121 0.016
O 0.713 0.585 0.800
O 0.751 0.151 0.332
O 0.834 0.570 0.236
O 0.855 0.195 0.680
O 0.876 0.386 0.024
O 0.928 0.031 0.253
O 0.962 0.860 0.811

The 8 most intense peaks (2θ = 10–90°), sorted by position:
- 15.8 deg, intensity 91.5
- 16.7 deg, intensity 71.9
- 26.6 deg, intensity 83.4
- 28.8 deg, intensity 82.8
- 29.3 deg, intensity 63.8
- 29.6 deg, intensity 100.0
- 32.0 deg, intensity 78.2
- 43.1 deg, intensity 55.8


4.
Theoretical XRD peak list
Compound: Ho2InHg
Radiation: λ = 1.5418 Å (Cu Kα)
Structure: the GGA-PBE geometry in the Materials Project
Intensities are scaled so that the largest is 100.

Structural model:
Cell: 5.274 5.274 5.274 Å, 60.00 60.00 60.00°
Fractional positions:
Ho 0.250 0.250 0.250
Ho 0.750 0.750 0.750
In 0.000 0.000 0.000
Hg 0.500 0.500 0.500

The 8 most intense peaks (2θ = 10–90°), sorted by position:
- 20.6 deg, intensity 3.6
- 34.0 deg, intensity 100.0
- 40.1 deg, intensity 2.2
- 48.8 deg, intensity 18.1
- 53.6 deg, intensity 1.0
- 60.8 deg, intensity 37.5
- 71.6 deg, intensity 11.6
- 81.7 deg, intensity 16.5


5.
Theoretical XRD peak list
Compound: BaLa2Cl8
Radiation: λ = 1.5418 Å (Cu Kα)
Structure: the GGA-PBE geometry in the Materials Project
Intensities are scaled so that the largest is 100.

Structural model:
Cell: 7.828 7.828 5.520 Å, 97.28 97.28 111.29°
Fractional positions:
Ba 0.000 0.000 0.000
La 0.320 0.680 0.500
La 0.680 0.320 0.500
Cl 0.059 0.323 0.575
Cl 0.247 0.753 0.000
Cl 0.323 0.059 0.575
Cl 0.381 0.381 0.200
Cl 0.619 0.619 0.800
Cl 0.677 0.941 0.425
Cl 0.753 0.247 0.000
Cl 0.941 0.677 0.425

The 8 most intense peaks (2θ = 10–90°), sorted by position:
- 18.7 deg, intensity 73.9
- 20.6 deg, intensity 100.0
- 21.5 deg, intensity 90.7
- 23.1 deg, intensity 92.7
- 32.3 deg, intensity 75.2
- 32.6 deg, intensity 77.0
- 33.3 deg, intensity 67.9
- 37.7 deg, intensity 87.3


6.
Theoretical XRD peak list
Compound: BaCaCeZrO6
Radiation: λ = 1.5418 Å (Cu Kα)
Structure: the GGA-PBE geometry in the Materials Project
Intensities are scaled so that the largest is 100.

Structural model:
Cell: 5.974 6.047 8.544 Å, 89.73 89.75 90.00°
Fractional positions:
Ba 0.007 0.032 0.250
Ba 0.993 0.968 0.750
Ca 0.493 0.537 0.248
Ca 0.507 0.463 0.752
Ce 0.000 0.500 0.000
Ce 0.500 0.000 0.500
Zr 0.000 0.500 0.500
Zr 0.500 0.000 0.000
O 0.107 0.500 0.742
O 0.202 0.783 0.466
O 0.215 0.797 0.029
O 0.288 0.305 0.438
O 0.309 0.292 0.059
O 0.435 0.065 0.759
O 0.565 0.935 0.241
O 0.691 0.708 0.941
O 0.712 0.695 0.562
O 0.785 0.203 0.971
O 0.798 0.217 0.534
O 0.893 0.500 0.258

The 8 most intense peaks (2θ = 10–90°), sorted by position:
- 29.6 deg, intensity 90.6
- 29.7 deg, intensity 100.0
- 29.7 deg, intensity 44.2
- 29.9 deg, intensity 44.5
- 42.5 deg, intensity 50.4
- 52.4 deg, intensity 29.3
- 52.6 deg, intensity 39.9
- 52.8 deg, intensity 32.1